Computed powder diffraction line list of Sr3Zn2Cd2Ge4 for Cu Kα X-rays, from a structure optimized by DFT (GGA-PBE).
No peak broadening, texture or thermal motion is included.

Principal peaks in the range 5° ≤ 2θ ≤ 70°, low angle first:
2θ = 25.6°, rel. 21, hkl 0 1 2
2θ = 28.3°, rel. 55, hkl 1 0 3
2θ = 31.7°, rel. 98, hkl 0 1 4
2θ = 35.7°, rel. 23, hkl 0 1 5
2θ = 40.1°, rel. 23, hkl 1 0 6
2θ = 40.9°, rel. 100, hkl 1 1 0
2θ = 52.6°, rel. 23, hkl 2 0 4
2θ = 56.8°, rel. 32, hkl 1 1 7

Unit cell a=4.4181 b=4.4181 c=16.6837 alpha=90.00 beta=90.00 gamma=120.00
Space group P-3m1 (No. 164)
Inequivalent atoms, fractional coordinates:
Sr1 0.0000 0.0000 0.0000 [1 per cell]
Sr2 0.0000 0.0000 0.2694 [2 per cell]
Zn1 0.3333 0.6667 0.1375 [2 per cell]
Cd1 0.3333 0.6667 0.5556 [2 per cell]
Ge1 0.3333 0.6667 0.3852 [2 per cell]
Ge2 0.3333 0.6667 0.8679 [2 per cell]